No. 1
For CoC8N6, a structure optimized by DFT (GGA-PBE) gives the calculated powder XRD pattern in this record (Cu Kα X-rays).
Lines closer than 0.1° are merged.

Largest 10 diffraction maxima, most intense first, 10° ≤ 2θ ≤ 90°:
(hkl)	d (Å)	Rel. int.
1 1 1	3.956	100
0 1 2	3.788	55
1 0 1	5.852	55
0 1 3	2.969	42
0 0 2	5.349	28
2 1 2	2.569	24
1 0 3	3.175	23
2 2 2	1.977	22
2 1 1	2.825	19
1 2 3	2.050	14

```
data_CoC8N6
_chemical_formula_sum 'Co2 C16 N12'
_space_group_name_H-M_alt 'P m n a'
_space_group_IT_number 53
_cell_length_a 6.9921
_cell_length_b 5.3677
_cell_length_c 10.6906
_cell_angle_alpha 90.00
_cell_angle_beta 90.00
_cell_angle_gamma 90.00
loop_
_space_group_symop_operation_xyz
'x,y,z'
'-x,-y,-z'
'-x+1/2,-y,z+1/2'
'x+1/2,y,-z+1/2'
'x,-y,-z'
'-x,y,z'
'-x+1/2,y,-z+1/2'
'x+1/2,-y,z+1/2'
loop_
_atom_site_label
_atom_site_type_symbol
_atom_site_fract_x
_atom_site_fract_y
_atom_site_fract_z
_atom_site_occupancy
Co1 Co 0.0000 0.0000 0.0000 1
C1 C 0.0000 0.3994 0.2600 1
C2 C 0.0000 0.4042 0.6525 1
C3 C 0.1695 0.2959 0.6087 1
N1 N 0.0000 0.2376 0.1863 1
N2 N 0.1955 0.1977 0.9330 1
```

=====

No. 2
For Ti2GaPd4, a structure optimized by DFT (GGA-PBE) gives the calculated powder XRD pattern in this record (Cu Kα X-rays).
Lines closer than 0.1° are merged.

Largest 10 diffraction maxima, most intense first, 10° ≤ 2θ ≤ 90°:
(hkl)	d (Å)	Rel. int.
1 2 3	2.166	100
2 1 3	2.161	69
1 3 0	2.251	62
2 2 2	2.183	60
3 0 1	2.276	51
0 2 2	2.778	39
3 1 0	2.236	38
0 1 3	2.731	35
0 1 1	5.552	34
3 1 2	1.997	28

```
data_Ti2GaPd4
_chemical_formula_sum 'Ti8 Ga4 Pd16'
_space_group_name_H-M_alt 'I 21 21 21'
_space_group_IT_number 24
_cell_length_a 7.0648
_cell_length_b 7.1241
_cell_length_c 8.8733
_cell_angle_alpha 90.00
_cell_angle_beta 90.00
_cell_angle_gamma 90.00
loop_
_space_group_symop_operation_xyz
'x,y,z'
'-x,-y+1/2,z'
'x,-y,-z+1/2'
'-x,y+1/2,-z+1/2'
'x+1/2,y+1/2,z+1/2'
'-x+1/2,-y,z+1/2'
'x+1/2,-y+1/2,-z'
'-x+1/2,y,-z'
loop_
_atom_site_label
_atom_site_type_symbol
_atom_site_fract_x
_atom_site_fract_y
_atom_site_fract_z
_atom_site_occupancy
Ti1 Ti 0.1466 0.0000 0.2500 1
Ti2 Ti 0.2500 0.3190 0.5000 1
Ga1 Ga 0.0000 0.2500 0.7230 1
Pd1 Pd 0.0604 0.0289 0.9552 1
Pd2 Pd 0.1876 0.3391 0.1629 1
```

=====

No. 3
For Er4ScSn, a structure optimized by DFT (GGA-PBE) gives the calculated powder XRD pattern in this record (Cu Kα X-rays).
Lines closer than 0.1° are merged.

Largest 10 diffraction maxima, most intense first, 10° ≤ 2θ ≤ 90°:
(hkl)	d (Å)	Rel. int.
1 1 2	2.599	100
2 0 0	2.548	47
1 1 0	3.603	42
3 1 2	1.481	36
0 0 2	3.754	23
2 0 2	2.108	20
2 0 4	1.511	19
2 2 0	1.802	17
1 0 1	4.216	14
2 2 4	1.300	12

```
data_Er4ScSn
_chemical_formula_sum 'Er4 Sc1 Sn1'
_space_group_name_H-M_alt 'P 4/m m m'
_space_group_IT_number 123
_space_group_name_Hall '-P 4 2'
_cell_length_a 5.0958
_cell_length_b 5.0958
_cell_length_c 7.5072
_cell_angle_alpha 90.00
_cell_angle_beta 90.00
_cell_angle_gamma 90.00
loop_
_atom_site_label
_atom_site_type_symbol
_atom_site_fract_x
_atom_site_fract_y
_atom_site_fract_z
_atom_site_occupancy
Er1 Er 0.0000 0.5000 0.2470 1
Sc1 Sc 0.0000 0.0000 0.0000 1
Sn1 Sn 0.5000 0.5000 0.5000 1
```

=====

No. 4
For CaYb4Ru4O14, a structure optimized by DFT (GGA-PBE) gives the calculated powder XRD pattern in this record (Cu Kα X-rays).
Lines closer than 0.1° are merged.

Largest 10 diffraction maxima, most intense first, 10° ≤ 2θ ≤ 90°:
(hkl)	d (Å)	Rel. int.
2 0 2	3.021	100
0 2 4	2.628	53
2 2 0	1.846	35
0 0 6	3.078	30
2 0 8	1.872	24
2 2 6	1.583	23
0 4 2	1.575	14
2 4 4	1.169	11
4 0 4	1.510	11
4 2 2	1.198	10

```
data_CaYb4Ru4O14
_chemical_formula_sum 'Ca3 Yb12 Ru12 O42'
_space_group_name_H-M_alt 'R 3 m'
_space_group_IT_number 160
_space_group_name_Hall 'R 3 -2"'
_cell_length_a 7.3829
_cell_length_b 7.3829
_cell_length_c 18.4684
_cell_angle_alpha 90.00
_cell_angle_beta 90.00
_cell_angle_gamma 120.00
loop_
_atom_site_label
_atom_site_type_symbol
_atom_site_fract_x
_atom_site_fract_y
_atom_site_fract_z
_atom_site_occupancy
Ca1 Ca 0.0000 0.0000 0.0000 1
Yb1 Yb 0.0000 0.0000 0.2526 1
Yb2 Yb 0.1793 0.3586 0.1002 1
Ru1 Ru 0.0000 0.0000 0.7370 1
Ru2 Ru 0.0047 0.5024 0.2399 1
O1 O 0.0000 0.0000 0.1223 1
O2 O 0.0000 0.0000 0.3757 1
O3 O 0.0548 0.5274 0.5934 1
O4 O 0.0572 0.5286 0.3488 1
O5 O 0.1979 0.3958 0.4655 1
O6 O 0.1984 0.3968 0.2209 1
```

=====

No. 5
For Cd2PdRhO6, a structure optimized by DFT (GGA-PBE) gives the calculated powder XRD pattern in this record (Cu Kα X-rays).
Lines closer than 0.1° are merged.

Largest 10 diffraction maxima, most intense first, 10° ≤ 2θ ≤ 90°:
(hkl)	d (Å)	Rel. int.
1 1 1	2.919	100
2 0 0	2.756	45
3 1 1	1.621	34
2 2 0	1.949	27
2 0 2	1.721	20
1 1 2	1.918	14
0 0 1	4.406	12
2 2 2	1.460	9
0 0 2	2.203	9
3 1 2	1.367	8

```
data_Cd2PdRhO6
_chemical_formula_sum 'Cd2 Pd1 Rh1 O6'
_space_group_name_H-M_alt 'P 4 m m'
_space_group_IT_number 99
_cell_length_a 5.5130
_cell_length_b 5.5130
_cell_length_c 4.4056
_cell_angle_alpha 90.00
_cell_angle_beta 90.00
_cell_angle_gamma 90.00
loop_
_space_group_symop_operation_xyz
'x,y,z'
'-y,x,z'
'-x,-y,z'
'y,-x,z'
'-x,y,z'
'y,x,z'
'x,-y,z'
'-y,-x,z'
loop_
_atom_site_label
_atom_site_type_symbol
_atom_site_fract_x
_atom_site_fract_y
_atom_site_fract_z
_atom_site_occupancy
Cd1 Cd 0.0000 0.5000 0.0000 1
Pd1 Pd 0.0000 0.0000 0.6068 1
Rh1 Rh 0.5000 0.5000 0.5803 1
O1 O 0.0000 0.0000 0.1444 1
O2 O 0.2581 0.2581 0.7023 1
O3 O 0.5000 0.5000 0.1651 1
```

=====

No. 6
For Fe3Co3Ni, a structure optimized by DFT (GGA-PBE) gives the calculated powder XRD pattern in this record (Cu Kα X-rays).
Lines closer than 0.1° are merged.

Largest 10 diffraction maxima, most intense first, 10° ≤ 2θ ≤ 90°:
(hkl)	d (Å)	Rel. int.
3 -1 1	1.997	100
1 1 6	1.986	79
1 0 7	2.057	35
1 2 2	1.949	34
1 1 3	2.648	27
1 2 5	1.692	21
4 1 0	1.162	16
4 -3 7	1.232	16
4 0 7	1.143	14
2 0 5	2.026	13

```
data_Fe3Co3Ni
_chemical_formula_sum 'Fe18 Co18 Ni6'
_space_group_name_H-M_alt 'R -3'
_space_group_IT_number 148
_space_group_name_Hall '-R 3'
_cell_length_a 6.1506
_cell_length_b 6.1506
_cell_length_c 15.6111
_cell_angle_alpha 90.00
_cell_angle_beta 90.00
_cell_angle_gamma 120.00
loop_
_atom_site_label
_atom_site_type_symbol
_atom_site_fract_x
_atom_site_fract_y
_atom_site_fract_z
_atom_site_occupancy
Fe1 Fe 0.0327 0.7748 0.0628 1
Co1 Co 0.0433 0.7778 0.2155 1
Ni1 Ni 0.0000 0.0000 0.3471 1
```